Entry 1:
Diffraction record for K2S2O3. The powder XRD pattern is computed, not measured: it uses a cell relaxed with PBE and Cu Ka.
No peak broadening, texture or thermal motion is included.

Most intense lines, 10° ≤ 2θ ≤ 80°, sorted by position:
17.1°, I = 41.3; 18.7°, I = 24.1; 26.9°, I = 100.0; 27.4°, I = 37.0; 27.6°, I = 29.4; 29.5°, I = 22.5; 29.7°, I = 37.1; 35.0°, I = 46.7

Cell and atoms:
Unit cell a=10.248 b=9.292 c=13.516 alpha=90.00 beta=111.88 gamma=90.00
Space group P2_1/c (No. 14)
Asymmetric unit:
1 K 0.083 0.189 0.447
2 K 0.235 0.009 0.206
3 K 0.284 0.012 0.805
4 K 0.379 0.675 0.040
5 S 0.043 0.729 0.821
6 S 0.092 0.615 0.435
7 S 0.405 0.151 0.057
8 S 0.441 0.166 0.646
9 O 0.071 0.587 0.876
10 O 0.108 0.245 0.749
11 O 0.132 0.750 0.257
12 O 0.306 0.084 0.615
13 O 0.454 0.577 0.878
14 O 0.493 0.205 0.761

Entry 2:
Diffraction record for K2Sb4S7O. The powder XRD pattern is computed, not measured: it uses a cell relaxed with PBE and Cu Ka.
No peak broadening, texture or thermal motion is included.

Most intense lines, 10° ≤ 2θ ≤ 80°, sorted by position:
11.2°, I = 36.1; 14.8°, I = 24.7; 23.6°, I = 31.2; 25.0°, I = 27.0; 28.6°, I = 36.8; 29.8°, I = 49.7; 30.3°, I = 100.0; 41.9°, I = 24.7

Cell and atoms:
Unit cell a=7.327 b=9.641 c=11.635 alpha=79.36 beta=86.34 gamma=77.61
Space group P-1 (No. 2)
Asymmetric unit:
1 K 0.085 0.201 0.439
2 K 0.210 0.846 0.893
3 Sb 0.002 0.682 0.232
4 Sb 0.241 0.372 0.046
5 Sb 0.360 0.939 0.187
6 Sb 0.456 0.452 0.655
7 S 0.053 0.926 0.287
8 S 0.058 0.574 0.849
9 S 0.167 0.174 0.948
10 S 0.262 0.512 0.460
11 S 0.319 0.632 0.145
12 S 0.388 0.177 0.226
13 S 0.454 0.195 0.640
14 O 0.237 0.914 0.536

Entry 3:
Diffraction record for K3Sb7S3O9. The powder XRD pattern is computed, not measured: it uses a cell relaxed with PBE and Cu Ka.
No peak broadening, texture or thermal motion is included.

Most intense lines, 10° ≤ 2θ ≤ 80°, sorted by position:
12.1°, I = 23.6; 20.9°, I = 30.8; 24.3°, I = 49.8; 26.3°, I = 31.9; 29.0°, I = 60.4; 29.9°, I = 100.0; 31.3°, I = 33.0; 32.4°, I = 35.8

Cell and atoms:
Unit cell a=14.6009 b=14.6009 c=5.7213 alpha=90.00 beta=90.00 gamma=120.00
Space group P6_3 (No. 173)
Asymmetric unit:
1 K 0.1033 0.8082 0.0000
2 Sb 0.0146 0.6142 0.4957
3 Sb 0.1659 0.4458 0.5062
4 Sb 0.3333 0.6667 0.1060
5 S 0.1646 0.6268 0.9294
6 O 0.0632 0.3578 0.2496
7 O 0.0644 0.3516 0.7504
8 O 0.1229 0.7727 0.4872

Entry 4:
Diffraction record for KScS2O8. The powder XRD pattern is computed, not measured: it uses a cell relaxed with PBE and Cu Ka.
No peak broadening, texture or thermal motion is included.

Most intense lines, 10° ≤ 2θ ≤ 80°, sorted by position:
10.8°, I = 87.4; 20.9°, I = 35.6; 22.0°, I = 60.5; 22.8°, I = 95.2; 24.4°, I = 46.0; 28.8°, I = 100.0; 30.1°, I = 42.9; 35.8°, I = 51.2

Cell and atoms:
Unit cell a=8.541 b=5.369 c=8.183 alpha=90.00 beta=94.65 gamma=90.00
Space group C2/m (No. 12)
Asymmetric unit:
1 K 0.000 0.000 0.000
2 Sc 0.000 0.000 0.500
3 S 0.131 0.500 0.298
4 O 0.031 0.274 0.320
5 O 0.186 0.500 0.134
6 O 0.240 0.000 0.569